Diffraction record for HoLu2Ge4Pd4. The X-ray powder pattern is computed, not measured: it uses a GGA-PBE-relaxed structure and CuKα.

Peak list (10 most intense, 2θ = 10–90°, in order of falling intensity)
2θ/deg	d (Å)	I/Imax
33.92	2.643	100
36.14	2.486	87
43.92	2.061	38
42.89	2.109	34
34.72	2.583	30
38.71	2.326	24
63.07	1.474	22
38.98	2.311	16
75.93	1.253	15
57.17	1.611	14

Crystal structure
```
11
Lattice="-2.0613 3.5543 6.9325 2.0613 -3.5543 6.9325 2.0613 3.5543 -6.9325" Properties=species:S:1:pos:R:3 pbc="T T T"
Ho 0.0000 0.0000 0.0000
Lu 2.0613 0.0000 5.1930
Lu 0.0000 3.5543 1.7395
Ge 0.0000 0.0000 3.0352
Ge 2.0613 2.2289 0.0000
Ge 0.0000 1.3254 6.9325
Ge 0.0000 0.0000 10.8299
Pd 2.0613 1.4354 -2.4245
Pd 2.0613 1.4354 2.4245
Pd 0.0000 2.1189 4.5080
Pd 0.0000 2.1189 9.3570
```

***

Diffraction record for Nb3Co4B7. The X-ray powder pattern is computed, not measured: it uses a GGA-PBE-relaxed structure and CuKα.

Peak list (10 most intense, 2θ = 10–90°, in order of falling intensity)
2θ/deg	d (Å)	I/Imax
42.60	2.122	100
41.83	2.160	64
40.60	2.222	28
28.29	3.155	27
39.18	2.299	27
57.57	1.601	27
76.69	1.243	25
45.82	1.980	23
35.58	2.523	23
30.06	2.973	23

Crystal structure
```
28
Lattice="1.6010 -9.1969 0.0000 1.6010 9.1969 0.0000 0.0000 0.0000 8.8881" Properties=species:S:1:pos:R:3 pbc="T T T"
Nb 1.6010 7.7102 4.9356
Nb 1.6010 7.7102 8.3966
Nb 1.6010 5.5540 2.2220
Nb 1.6010 -5.5540 6.6661
Nb 1.6010 -7.7102 0.4915
Nb 1.6010 -7.7102 3.9525
Co 1.6010 8.4172 2.2220
Co 1.6010 3.6584 4.4882
Co 1.6010 3.6584 8.8439
Co 1.6010 2.8743 2.2220
Co 1.6010 -2.8743 6.6661
Co 1.6010 -3.6584 0.0442
Co 1.6010 -3.6584 4.3999
Co 1.6010 -8.4172 6.6661
B 1.6010 5.3282 5.7299
B 1.6010 5.3282 7.6022
B 1.6010 2.0216 5.7574
B 1.6010 2.0216 7.5747
B 1.6010 0.8188 2.2220
B 1.6010 0.2856 5.2722
B 1.6010 0.2856 8.0600
B 1.6010 -0.2856 0.8281
B 1.6010 -0.2856 3.6160
B 1.6010 -0.8188 6.6661
B 1.6010 -2.0216 1.3134
B 1.6010 -2.0216 3.1307
B 1.6010 -5.3282 1.2859
B 1.6010 -5.3282 3.1582
```

***

Diffraction record for AgMo6Br13. The X-ray powder pattern is computed, not measured: it uses a GGA-PBE-relaxed structure and CuKα.

Peak list (10 most intense, 2θ = 10–90°, in order of falling intensity)
2θ/deg	d (Å)	I/Imax
10.62	8.331	100
13.15	6.731	100
13.29	6.664	91
10.80	8.195	85
13.99	6.331	73
29.81	2.997	38
43.98	2.059	31
28.78	3.102	29
12.69	6.974	27
12.42	7.129	26

Crystal structure
```
40
Lattice="9.4469 0.0000 0.0000 -3.7310 8.8696 0.0000 -3.3006 -3.0975 13.9474" Properties=species:S:1:pos:R:3 pbc="T T T"
Ag -1.4164 1.7237 3.7682
Ag 3.8316 4.0484 10.1791
Mo 1.4472 -1.2921 6.0755
Mo 1.4742 3.3017 0.5534
Mo -1.5634 2.0445 12.6205
Mo -0.7677 5.4816 6.6498
Mo 2.1490 -1.7586 8.5962
Mo 0.1458 0.0220 12.7455
Mo 2.2694 5.7501 1.2019
Mo 0.2662 7.5307 5.3512
Mo 3.1829 0.2905 7.2976
Mo 3.9786 3.7276 1.3269
Mo 0.9410 2.4704 13.3940
Mo 0.9680 7.0642 7.8719
Br -0.8211 -0.8523 4.8327
Br -0.4713 1.6505 1.2686
Br -2.3332 -0.3906 12.0216
Br -3.2692 5.5194 7.3724
Br -3.0664 2.9351 10.6432
Br -0.2040 5.3310 0.4262
Br -0.9072 2.8956 6.1652
Br -1.4775 5.9565 4.1716
Br 0.6409 0.2665 7.9755
Br 0.9089 -1.9813 11.0361
Br 3.1812 1.3067 0.6746
Br 2.5045 0.7402 4.8047
Br 1.9854 3.9027 3.0309
Br 0.4298 1.8694 10.9164
Br -0.0893 5.0319 9.1427
Br -0.7660 4.4654 13.2728
Br 1.5063 7.7534 2.9112
Br 1.7743 5.5056 5.9719
Br 3.8927 -0.1844 9.7758
Br 3.3224 2.8765 7.7822
Br 2.6192 0.4411 13.5212
Br 5.4816 2.8370 3.3042
Br 5.6844 0.2527 6.5750
Br 4.7484 6.1627 1.9258
Br 2.8865 4.1216 12.6788
Br 3.2363 6.6244 9.1147
```